[1]
Starting from DFT lattice parameters and positions (GGA-PBE), the XRD peak list of Pm2PuTl3 was simulated for Cu Kα X-rays.
Intensities are scaled so that the largest is 100.

Atomic structure:
Unit cell a=3.510 b=3.510 c=13.790 alpha=90.00 beta=90.00 gamma=90.00
Atoms (fractional coordinates):
Pm 0.000 0.000 0.166
Pm 0.000 0.000 0.834
Pu 0.000 0.000 0.500
Tl 0.500 0.500 0.000
Tl 0.500 0.500 0.334
Tl 0.500 0.500 0.666

Most intense lines, 10° ≤ 2θ ≤ 90°, by angle:
2θ/deg  I/Imax
32.09  100
36.19  36
39.20  15
52.12  13
54.41  23
62.53  30
66.60  13
67.11  12
85.68  7
89.36  12

***

[2]
Starting from DFT lattice parameters and positions (GGA-PBE), the XRD peak list of NaPmDy4S8 was simulated for Cu Kα X-rays.
Intensities are scaled so that the largest is 100.

Atomic structure:
Unit cell a=8.177 b=8.177 c=8.177 alpha=59.43 beta=59.43 gamma=59.43
Atoms (fractional coordinates):
Na 0.000 0.000 0.000
Pm 0.631 0.631 0.631
Dy 0.113 0.631 0.631
Dy 0.252 0.252 0.252
Dy 0.631 0.113 0.631
Dy 0.631 0.631 0.113
S 0.381 0.381 0.855
S 0.381 0.855 0.381
S 0.384 0.384 0.384
S 0.409 0.869 0.869
S 0.855 0.381 0.381
S 0.865 0.865 0.865
S 0.869 0.409 0.869
S 0.869 0.869 0.409

Most intense lines, 10° ≤ 2θ ≤ 90°, by angle:
2θ/deg  I/Imax
13.36  34
15.39  17
25.52  32
25.71  100
26.90  21
31.07  51
40.73  25
40.84  20
44.31  42
44.72  42

***

[3]
Starting from DFT lattice parameters and positions (GGA-PBE), the XRD peak list of Hf3ZrCo4 was simulated for Cu Kα X-rays.
Intensities are scaled so that the largest is 100.

Atomic structure:
Unit cell a=7.748 b=7.748 c=7.748 alpha=33.59 beta=33.59 gamma=33.59
Atoms (fractional coordinates):
Hf 0.000 0.000 0.000
Hf 0.251 0.251 0.251
Hf 0.749 0.749 0.749
Zr 0.500 0.500 0.500
Co 0.124 0.124 0.124
Co 0.374 0.374 0.374
Co 0.626 0.626 0.626
Co 0.876 0.876 0.876

Most intense lines, 10° ≤ 2θ ≤ 90°, by angle:
2θ/deg  I/Imax
12.12  3
23.30  2
24.35  2
28.19  23
40.30  100
49.91  7
58.31  17
66.00  9
73.26  33
87.09  11

***

[4]
Starting from DFT lattice parameters and positions (GGA-PBE), the XRD peak list of NaCu2H2Se2O10 was simulated for Cu Kα X-rays.
Intensities are scaled so that the largest is 100.

Atomic structure:
Unit cell a=5.782 b=5.782 c=7.951 alpha=117.10 beta=117.10 gamma=67.08
Atoms (fractional coordinates):
Na 0.000 0.000 0.000
Cu 0.000 0.500 0.500
Cu 0.500 0.000 0.500
H 0.217 0.217 0.697
H 0.783 0.783 0.303
Se 0.414 0.414 0.192
Se 0.586 0.586 0.808
O 0.175 0.175 0.552
O 0.246 0.683 0.751
O 0.274 0.274 0.949
O 0.317 0.317 0.313
O 0.317 0.754 0.249
O 0.683 0.246 0.751
O 0.683 0.683 0.687
O 0.726 0.726 0.051
O 0.754 0.317 0.249
O 0.825 0.825 0.448

Most intense lines, 10° ≤ 2θ ≤ 90°, by angle:
2θ/deg  I/Imax
13.30  20
17.70  70
23.58  100
25.62  24
26.65  56
31.05  44
31.56  93
33.68  64
50.17  34
57.71  17

***

[5]
Starting from DFT lattice parameters and positions (GGA-PBE), the XRD peak list of B3Pt7Rh was simulated for Cu Kα X-rays.
Intensities are scaled so that the largest is 100.

Atomic structure:
Unit cell a=5.738 b=5.738 c=5.140 alpha=106.57 beta=106.57 gamma=69.90
Atoms (fractional coordinates):
B 0.000 0.000 0.000
B 0.483 0.981 0.987
B 0.981 0.483 0.987
Pt 0.104 0.628 0.724
Pt 0.121 0.121 0.710
Pt 0.347 0.347 0.251
Pt 0.363 0.834 0.251
Pt 0.604 0.604 0.739
Pt 0.628 0.104 0.724
Pt 0.834 0.363 0.251
Rh 0.853 0.853 0.235

Most intense lines, 10° ≤ 2θ ≤ 90°, by angle:
2θ/deg  I/Imax
35.26  100
37.32  44
40.93  34
42.38  67
45.06  25
55.95  14
61.00  20
66.09  15
69.20  14
71.62  12

***

[6]
Starting from DFT lattice parameters and positions (GGA-PBE), the XRD peak list of Na2CaBeP2 was simulated for Cu Kα X-rays.
Intensities are scaled so that the largest is 100.

Atomic structure:
Unit cell a=7.686 b=7.686 c=7.686 alpha=128.52 beta=74.20 gamma=130.50
Atoms (fractional coordinates):
Na 0.192 0.168 0.360
Na 0.308 0.668 0.976
Na 0.692 0.332 0.024
Na 0.808 0.832 0.640
Ca 0.250 0.750 0.500
Ca 0.750 0.250 0.500
Be 0.250 0.250 0.000
Be 0.750 0.750 0.000
P 0.086 0.804 0.890
P 0.414 0.304 0.718
P 0.586 0.696 0.282
P 0.914 0.196 0.110

Most intense lines, 10° ≤ 2θ ≤ 90°, by angle:
2θ/deg  I/Imax
14.45  62
25.56  49
31.39  26
31.72  63
35.10  100
37.49  33
38.87  66
41.23  36
53.94  26
57.24  23